No. 1
Starting from a GGA-PBE-relaxed structure, the powder diffraction line list of AlTlW2 was computed for Cu Kα.

Atomic structure:
```
4
Lattice="3.2668 0.0000 0.0000 0.0000 3.2668 0.0000 0.0000 0.0000 6.7581" Properties=species:S:1:pos:R:3 pbc="T T T"
Al 0.0000 0.0000 0.0000
Tl 1.6334 1.6334 2.0006
W 0.0000 0.0000 3.9680
W 1.6334 1.6334 5.3717
```

Largest 10 diffraction maxima, by angle, 2θ from 10° to 80°:
| Position (°2θ) | I (rel.) |
| --- | --- |
| 13.10 | 24 |
| 26.38 | 9 |
| 27.30 | 11 |
| 30.39 | 16 |
| 38.32 | 100 |
| 38.99 | 52 |
| 47.69 | 8 |
| 56.32 | 18 |
| 68.85 | 14 |
| 70.18 | 35 |

No. 2
Starting from a GGA-PBE-relaxed structure, the powder diffraction line list of Y2AlTl was computed for Cu Kα.

Atomic structure:
```
4
Lattice="3.5520 -4.0303 0.0000 3.5520 4.0303 0.0000 0.0000 0.0000 3.5729" Properties=species:S:1:pos:R:3 pbc="T T T"
Y 1.7760 2.0152 0.0000
Y 1.7760 -2.0152 0.0000
Al 0.0000 0.0000 1.7865
Tl 3.5520 0.0000 1.7865
```

Largest 10 diffraction maxima, by angle, 2θ from 10° to 80°:
| Position (°2θ) | I (rel.) |
| --- | --- |
| 16.63 | 94 |
| 30.11 | 47 |
| 33.52 | 100 |
| 33.63 | 99 |
| 35.65 | 100 |
| 44.98 | 22 |
| 51.45 | 20 |
| 58.67 | 43 |
| 62.60 | 33 |
| 62.81 | 32 |

No. 3
Starting from a GGA-PBE-relaxed structure, the powder diffraction line list of Tm3Al4 was computed for Cu Kα.

Atomic structure:
```
7
Lattice="-1.7459 2.2522 9.7588 1.7459 -2.2522 9.7588 1.7459 2.2522 -9.7588" Properties=species:S:1:pos:R:3 pbc="T T T"
Tm 0.0000 0.0000 0.0000
Tm 1.7459 0.0000 5.9071
Tm 0.0000 2.2522 3.8516
Al 1.7459 0.0000 2.7314
Al 0.0000 0.0000 8.4581
Al 0.0000 0.0000 11.0594
Al 0.0000 2.2522 7.0273
```

Largest 10 diffraction maxima, by angle, 2θ from 10° to 80°:
| Position (°2θ) | I (rel.) |
| --- | --- |
| 18.18 | 18 |
| 24.03 | 76 |
| 25.92 | 16 |
| 33.75 | 100 |
| 34.46 | 61 |
| 37.95 | 43 |
| 40.03 | 26 |
| 49.89 | 20 |
| 53.83 | 35 |
| 66.51 | 17 |

No. 4
Starting from a GGA-PBE-relaxed structure, the powder diffraction line list of TmAl4 was computed for Cu Kα.

Atomic structure:
```
10
Lattice="-2.2323 3.0698 6.8125 2.2323 -3.0698 6.8125 2.2323 3.0698 -6.8125" Properties=species:S:1:pos:R:3 pbc="T T T"
Tm 0.0000 1.5349 1.5041
Tm 2.2323 1.5349 5.3084
Al 2.2323 0.0000 0.0000
Al 2.2323 -1.5349 5.2711
Al 2.2323 -0.1814 2.7085
Al 2.2323 2.8884 -2.7085
Al 0.0000 0.0000 6.8125
Al 0.0000 0.1814 9.5210
Al 0.0000 3.2512 4.1040
Al 0.0000 4.6047 1.5414
```

Largest 10 diffraction maxima, by angle, 2θ from 10° to 80°:
| Position (°2θ) | I (rel.) |
| --- | --- |
| 15.83 | 49 |
| 20.94 | 46 |
| 24.38 | 49 |
| 26.16 | 24 |
| 27.97 | 100 |
| 36.11 | 82 |
| 38.71 | 62 |
| 39.52 | 42 |
| 40.41 | 30 |
| 57.80 | 28 |

No. 5
Starting from a GGA-PBE-relaxed structure, the powder diffraction line list of Tm5Al2 was computed for Cu Kα.

Atomic structure:
```
14
Lattice="2.2358 -18.5709 0.0000 2.2358 18.5709 0.0000 0.0000 0.0000 4.5913" Properties=species:S:1:pos:R:3 pbc="T T T"
Tm 2.2358 17.2582 3.4435
Tm 2.2358 14.4267 1.1478
Tm 2.2358 9.4010 3.4435
Tm 2.2358 6.4629 1.1478
Tm 2.2358 1.4657 3.4435
Tm 2.2358 -1.4657 1.1478
Tm 2.2358 -6.4629 3.4435
Tm 2.2358 -9.4010 1.1478
Tm 2.2358 -14.4267 3.4435
Tm 2.2358 -17.2582 1.1478
Al 2.2358 11.3911 1.1478
Al 2.2358 3.4675 1.1478
Al 2.2358 -3.4675 3.4435
Al 2.2358 -11.3911 3.4435
```

Largest 10 diffraction maxima, by angle, 2θ from 10° to 80°:
| Position (°2θ) | I (rel.) |
| --- | --- |
| 29.45 | 17 |
| 30.39 | 100 |
| 33.79 | 29 |
| 35.47 | 49 |
| 39.24 | 28 |
| 40.34 | 22 |
| 52.73 | 17 |
| 53.61 | 16 |
| 55.03 | 21 |
| 57.54 | 18 |

No. 6
Starting from a GGA-PBE-relaxed structure, the powder diffraction line list of Tm3Al4 was computed for Cu Kα.

Atomic structure:
```
14
Lattice="2.0591 -5.4791 0.0000 2.0591 5.4791 0.0000 0.0000 0.0000 14.0775" Properties=species:S:1:pos:R:3 pbc="T T T"
Tm 2.0591 5.4407 10.5581
Tm 2.0591 2.2399 1.4039
Tm 2.0591 2.2399 5.6348
Tm 2.0591 -2.2399 8.4426
Tm 2.0591 -2.2399 12.6736
Tm 2.0591 -5.4407 3.5194
Al 0.0000 0.0000 0.0000
Al 0.0000 0.0000 7.0387
Al 2.0591 2.4123 10.5581
Al 2.0591 0.8860 8.4290
Al 2.0591 0.8860 12.6871
Al 2.0591 -0.8860 1.3903
Al 2.0591 -0.8860 5.6484
Al 2.0591 -2.4123 3.5194
```

Largest 10 diffraction maxima, by angle, 2θ from 10° to 80°:
| Position (°2θ) | I (rel.) |
| --- | --- |
| 20.54 | 44 |
| 23.93 | 33 |
| 26.36 | 43 |
| 30.00 | 92 |
| 30.18 | 65 |
| 32.76 | 100 |
| 34.51 | 60 |
| 38.07 | 71 |
| 43.97 | 31 |
| 51.29 | 52 |

No. 7
Starting from a GGA-PBE-relaxed structure, the powder diffraction line list of TmAl5 was computed for Cu Kα.

Atomic structure:
```
6
Lattice="-2.1868 2.9991 4.2769 2.1868 -2.9991 4.2769 2.1868 2.9991 -4.2769" Properties=species:S:1:pos:R:3 pbc="T T T"
Tm 0.0000 0.0000 0.0000
Al 2.1868 1.5916 -1.3975
Al 2.1868 1.5916 1.3975
Al 0.0000 2.9991 0.0000
Al 0.0000 1.4074 2.8795
Al 0.0000 1.4074 5.6744
```

Largest 10 diffraction maxima, by angle, 2θ from 10° to 80°:
| Position (°2θ) | I (rel.) |
| --- | --- |
| 18.06 | 90 |
| 20.77 | 38 |
| 22.84 | 56 |
| 25.20 | 53 |
| 32.88 | 43 |
| 36.60 | 52 |
| 37.66 | 75 |
| 37.87 | 100 |
| 41.29 | 29 |
| 56.34 | 30 |

No. 8
Starting from a GGA-PBE-relaxed structure, the powder diffraction line list of Tm7Al3 was computed for Cu Kα.

Atomic structure:
```
20
Lattice="10.0707 0.0000 0.0000 -5.0353 8.7214 0.0000 0.0000 0.0000 6.2338" Properties=species:S:1:pos:R:3 pbc="T T T"
Tm -2.0963 4.6040 0.0000
Tm 0.0000 2.1991 4.6673
Tm -3.1309 7.6219 4.6673
Tm 1.9045 1.0995 1.5504
Tm 0.0000 5.8143 3.5687
Tm 2.0963 4.6040 0.0000
Tm 0.0000 8.2349 0.0000
Tm 5.0353 0.4865 3.1169
Tm 2.9390 4.1175 3.1169
Tm 5.0353 2.9071 0.4518
Tm 3.1308 7.6219 4.6673
Tm 8.1662 1.0995 1.5504
Tm 5.0353 6.5223 1.5504
Tm 7.1317 4.1175 3.1169
Al 0.0000 3.4031 1.8303
Al -2.0881 7.0199 1.8303
Al 2.9472 1.7016 4.9472
Al 2.0881 7.0199 1.8303
Al 7.1235 1.7016 4.9472
Al 5.0353 5.3183 4.9472
```

Largest 10 diffraction maxima, by angle, 2θ from 10° to 80°:
| Position (°2θ) | I (rel.) |
| --- | --- |
| 24.92 | 21 |
| 27.05 | 37 |
| 30.46 | 47 |
| 30.69 | 100 |
| 34.03 | 51 |
| 35.40 | 53 |
| 35.66 | 40 |
| 54.50 | 35 |
| 54.65 | 36 |
| 66.98 | 13 |

No. 9
Starting from a GGA-PBE-relaxed structure, the powder diffraction line list of Tm13Al2 was computed for Cu Kα.

Atomic structure:
```
15
Lattice="6.5436 0.0000 0.0000 1.4550 8.2125 0.0000 0.1161 4.0321 7.9837" Properties=species:S:1:pos:R:3 pbc="T T T"
Tm 0.0000 0.0000 0.0000
Tm 1.0328 6.9686 5.6341
Tm 1.6210 2.3965 4.5494
Tm 1.9815 2.3173 1.2217
Tm 2.8717 9.2138 7.6595
Tm 3.2530 4.6965 6.5079
Tm 3.7214 4.7972 3.0183
Tm 4.3934 7.4473 4.9653
Tm 4.8617 7.5481 1.4758
Tm 5.2430 3.0307 0.3242
Tm 6.1332 9.9273 6.7620
Tm 6.4937 9.8481 3.4343
Tm 7.0819 5.2760 2.3496
Al 2.2280 7.8476 2.8917
Al 5.8868 4.3970 5.0920
```

Largest 10 diffraction maxima, by angle, 2θ from 10° to 80°:
| Position (°2θ) | I (rel.) |
| --- | --- |
| 30.12 | 35 |
| 30.26 | 34 |
| 31.10 | 26 |
| 31.35 | 100 |
| 31.77 | 57 |
| 32.27 | 49 |
| 33.29 | 95 |
| 33.51 | 40 |
| 34.98 | 31 |
| 36.39 | 34 |

No. 10
Starting from a GGA-PBE-relaxed structure, the powder diffraction line list of TmAl was computed for Cu Kα.

Atomic structure:
```
16
Lattice="5.7939 0.0000 0.0000 0.0000 11.2976 0.0000 0.0000 0.0000 5.5460" Properties=species:S:1:pos:R:3 pbc="T T T"
Tm 0.5934 1.9095 1.3865
Tm 0.5934 3.7393 4.1595
Tm 1.9707 0.1970 4.1595
Tm 1.9707 5.4518 1.3865
Tm 3.8232 5.8458 4.1595
Tm 3.8232 11.1006 1.3865
Tm 5.2004 7.5583 1.3865
Tm 5.2004 9.3881 4.1595
Al 0.9150 6.7394 4.1595
Al 0.9150 10.2070 1.3865
Al 2.4924 8.4732 0.0000
Al 2.4924 8.4732 2.7730
Al 3.3015 2.8244 0.0000
Al 3.3015 2.8244 2.7730
Al 4.8788 1.0906 4.1595
Al 4.8788 4.5582 1.3865
```

Largest 10 diffraction maxima, by angle, 2θ from 10° to 80°:
| Position (°2θ) | I (rel.) |
| --- | --- |
| 17.20 | 25 |
| 21.98 | 38 |
| 27.29 | 39 |
| 32.28 | 50 |
| 32.63 | 100 |
| 35.35 | 22 |
| 35.67 | 39 |
| 35.87 | 89 |
| 39.40 | 33 |
| 57.80 | 26 |

No. 11
Starting from a GGA-PBE-relaxed structure, the powder diffraction line list of TmUAl was computed for Cu Kα.

Atomic structure:
```
12
Lattice="3.2647 -4.9854 0.0000 3.2647 4.9854 0.0000 0.0000 0.0000 8.6887" Properties=species:S:1:pos:R:3 pbc="T T T"
Tm 1.6324 1.3041 2.1722
Tm 1.6324 -1.3041 6.5165
Tm 4.8971 1.3041 2.1722
Tm 4.8971 -1.3041 6.5165
U 3.2647 3.9500 3.7404
U 3.2647 1.0354 8.0848
U 3.2647 -1.0354 0.6039
U 3.2647 -3.9500 4.9482
Al 3.2647 3.8049 0.6793
Al 3.2647 1.1804 5.0236
Al 3.2647 -1.1804 3.6651
Al 3.2647 -3.8049 8.0094
```

Largest 10 diffraction maxima, by angle, 2θ from 10° to 80°:
| Position (°2θ) | I (rel.) |
| --- | --- |
| 19.19 | 67 |
| 26.21 | 12 |
| 34.40 | 100 |
| 35.86 | 57 |
| 36.03 | 26 |
| 36.72 | 14 |
| 48.89 | 10 |
| 50.64 | 25 |
| 63.45 | 18 |
| 68.63 | 18 |

No. 12
Starting from a GGA-PBE-relaxed structure, the powder diffraction line list of TmAl2W was computed for Cu Kα.

Atomic structure:
```
4
Lattice="1.4933 0.8622 9.7078 -1.4933 0.8622 9.7078 0.0000 -1.7243 9.7078" Properties=species:S:1:pos:R:3 pbc="T T T"
Tm 0.0000 0.0000 0.0000
Al 0.0000 0.0000 7.0158
Al 0.0000 0.0000 22.1075
W 0.0000 0.0000 14.5617
```

Largest 10 diffraction maxima, by angle, 2θ from 10° to 80°:
| Position (°2θ) | I (rel.) |
| --- | --- |
| 18.28 | 100 |
| 35.24 | 59 |
| 36.88 | 97 |
| 37.04 | 30 |
| 42.89 | 63 |
| 46.99 | 28 |
| 62.16 | 22 |
| 62.38 | 19 |
| 65.38 | 21 |
| 74.62 | 24 |